# 1
# ThInPd4
Computed powder X-ray diffraction pattern, copper Kα. Input: the GGA-PBE geometry in Alexandria.
Intensities are scaled so that the largest is 100.

Top 8 peaks for 10° ≤ 2θ ≤ 90°, in order of rising 2θ:
d (Å)	intensity
2.541	87
2.309	100
2.161	27
1.875	18
1.727	14
1.457	15
1.420	14
1.416	14

Structure:
```
ThInPd4
1.0
9.6769 0.0000 0.0000
0.0000 3.7508 0.0000
-2.9121 0.0000 6.2829
Th In Pd
2 2 8
Direct
0.0000 0.0000 0.0000 Th
0.5000 0.5000 0.0000 Th
0.0000 0.0000 0.5000 In
0.5000 0.5000 0.5000 In
0.1654 0.5000 0.3355 Pd
0.1658 0.5000 0.8220 Pd
0.3342 0.0000 0.1780 Pd
0.3346 0.0000 0.6645 Pd
0.6654 0.0000 0.3355 Pd
0.6658 0.0000 0.8220 Pd
0.8342 0.5000 0.1780 Pd
0.8346 0.5000 0.6645 Pd
```


# 2
# Th2Zn2InPd5
Computed powder X-ray diffraction pattern, copper Kα. Input: the GGA-PBE geometry in Alexandria.
Intensities are scaled so that the largest is 100.

Top 8 peaks for 10° ≤ 2θ ≤ 90°, in order of rising 2θ:
d (Å)	intensity
2.874	46
2.579	33
2.458	66
2.427	100
2.388	24
2.242	33
1.858	24
1.482	28

Structure:
```
Th2Zn2InPd5
1.0
10.1335 0.0000 0.0000
0.0000 10.1335 0.0000
0.0000 0.0000 3.7168
Th Zn In Pd
4 4 2 10
Direct
0.1776 0.3224 0.0000 Th
0.3224 0.8224 0.0000 Th
0.6776 0.1776 0.0000 Th
0.8224 0.6776 0.0000 Th
0.1199 0.6199 0.0000 Zn
0.3801 0.1199 0.0000 Zn
0.6199 0.8801 0.0000 Zn
0.8801 0.3801 0.0000 Zn
0.0000 0.0000 0.0000 In
0.5000 0.5000 0.0000 In
0.0000 0.5000 0.5000 Pd
0.0613 0.7915 0.5000 Pd
0.2085 0.0613 0.5000 Pd
0.2915 0.5613 0.5000 Pd
0.4387 0.2915 0.5000 Pd
0.5000 0.0000 0.5000 Pd
0.5613 0.7085 0.5000 Pd
0.7085 0.4387 0.5000 Pd
0.7915 0.9387 0.5000 Pd
0.9387 0.2085 0.5000 Pd
```


# 3
# Ti6InPd2
Computed powder X-ray diffraction pattern, copper Kα. Input: the GGA-PBE geometry in Alexandria.
Intensities are scaled so that the largest is 100.

Top 8 peaks for 10° ≤ 2θ ≤ 90°, in order of rising 2θ:
d (Å)	intensity
3.003	40
2.853	56
2.510	100
2.475	75
2.139	47
2.124	99
2.012	47
1.612	39

Structure:
```
Ti6InPd2
1.0
4.2475 0.0000 0.0000
0.0000 4.2475 0.0000
0.0000 0.0000 9.1379
Ti In Pd
6 1 2
Direct
0.0000 0.0000 0.0000 Ti
0.0000 0.5000 0.2067 Ti
0.0000 0.5000 0.7933 Ti
0.5000 0.0000 0.2067 Ti
0.5000 0.0000 0.7933 Ti
0.5000 0.5000 0.0000 Ti
0.0000 0.0000 0.5000 In
0.5000 0.5000 0.3628 Pd
0.5000 0.5000 0.6372 Pd
```


# 4
# Ti2InPd3
Computed powder X-ray diffraction pattern, copper Kα. Input: the GGA-PBE geometry in Alexandria.
Intensities are scaled so that the largest is 100.

Top 8 peaks for 10° ≤ 2θ ≤ 90°, in order of rising 2θ:
d (Å)	intensity
2.283	100
2.263	21
1.624	7
1.606	11
1.320	7
1.317	9
1.311	13
1.142	7

Structure:
```
Ti2InPd3
1.0
4.5269 0.0000 0.0000
0.0000 13.6711 0.0000
0.0000 0.0000 3.2481
Ti In Pd
4 2 6
Direct
0.0000 0.1634 0.0000 Ti
0.0000 0.8366 0.0000 Ti
0.5000 0.3366 0.0000 Ti
0.5000 0.6634 0.0000 Ti
0.0000 0.5000 0.0000 In
0.5000 0.0000 0.0000 In
0.0000 0.0000 0.5000 Pd
0.0000 0.3149 0.5000 Pd
0.0000 0.6851 0.5000 Pd
0.5000 0.1851 0.5000 Pd
0.5000 0.5000 0.5000 Pd
0.5000 0.8149 0.5000 Pd
```


# 5
# Ti2InPd6
Computed powder X-ray diffraction pattern, copper Kα. Input: the GGA-PBE geometry in Alexandria.
Intensities are scaled so that the largest is 100.

Top 8 peaks for 10° ≤ 2θ ≤ 90°, in order of rising 2θ:
d (Å)	intensity
3.741	24
2.695	58
2.455	23
2.443	21
2.309	68
2.195	100
2.052	61
2.046	60

Structure:
```
Ti2InPd6
1.0
7.0701 -3.7414 0.0000
7.0701 3.7414 0.0000
-0.5755 0.0000 2.8308
Ti In Pd
2 1 6
Direct
0.1640 0.1640 0.1619 Ti
0.8360 0.8360 0.8381 Ti
0.5000 0.5000 0.5000 In
0.1360 0.5249 0.3309 Pd
0.1822 0.8178 0.0000 Pd
0.4751 0.8640 0.6691 Pd
0.5249 0.1360 0.3309 Pd
0.8178 0.1822 0.0000 Pd
0.8640 0.4751 0.6691 Pd
```


# 6
# TiIn2Pd8
Computed powder X-ray diffraction pattern, copper Kα. Input: the GGA-PBE geometry in Alexandria.
Intensities are scaled so that the largest is 100.

Top 8 peaks for 10° ≤ 2θ ≤ 90°, in order of rising 2θ:
d (Å)	intensity
2.287	100
2.027	17
1.971	16
1.946	15
1.215	12
1.190	12
1.179	11
1.143	10

Structure:
```
TiIn2Pd8
1.0
-1.9710 3.8925 6.0811
1.9710 -3.8925 6.0811
1.9710 3.8925 -6.0811
Ti In Pd
1 2 8
Direct
0.0000 0.0000 0.0000 Ti
0.3391 0.3391 0.0000 In
0.6609 0.6609 0.0000 In
0.0858 0.8348 0.2510 Pd
0.1578 0.6578 0.5000 Pd
0.2504 0.5000 0.7504 Pd
0.4162 0.1652 0.2510 Pd
0.5838 0.8348 0.7490 Pd
0.7496 0.5000 0.2496 Pd
0.8422 0.3422 0.5000 Pd
0.9142 0.1652 0.7490 Pd
```


# 7
# Ti6InPd5
Computed powder X-ray diffraction pattern, copper Kα. Input: the GGA-PBE geometry in Alexandria.
Intensities are scaled so that the largest is 100.

Top 8 peaks for 10° ≤ 2θ ≤ 90°, in order of rising 2θ:
d (Å)	intensity
3.549	33
3.494	31
2.303	100
2.279	83
2.265	70
2.227	42
2.211	63
2.037	28

Structure:
```
Ti6InPd5
1.0
5.3053 0.0000 0.0000
-0.5148 5.4545 0.0000
-0.6541 -2.3221 6.9883
Ti In Pd
6 1 5
Direct
0.0786 0.4698 0.1826 Ti
0.1795 0.0882 0.8248 Ti
0.4112 0.6161 0.6860 Ti
0.5888 0.3839 0.3140 Ti
0.8205 0.9118 0.1752 Ti
0.9214 0.5302 0.8174 Ti
0.5000 0.0000 0.5000 In
0.0651 0.2496 0.4804 Pd
0.2926 0.9428 0.1131 Pd
0.5000 0.5000 0.0000 Pd
0.7074 0.0572 0.8869 Pd
0.9349 0.7504 0.5196 Pd
```


# 8
# Ti4InPd4
Computed powder X-ray diffraction pattern, copper Kα. Input: the GGA-PBE geometry in Alexandria.
Intensities are scaled so that the largest is 100.

Top 8 peaks for 10° ≤ 2θ ≤ 90°, in order of rising 2θ:
d (Å)	intensity
3.387	25
3.070	25
2.788	100
2.440	53
2.358	33
2.022	27
1.968	22
1.695	43

Structure:
```
Ti4InPd4
1.0
6.6684 0.0000 0.0000
0.0000 6.6684 0.0000
0.0000 0.0000 7.8642
Ti In Pd
8 2 8
Direct
0.0091 0.7500 0.0984 Ti
0.2500 0.5091 0.4016 Ti
0.2500 0.9909 0.4016 Ti
0.4909 0.7500 0.0984 Ti
0.5091 0.2500 0.9016 Ti
0.7500 0.0091 0.5984 Ti
0.7500 0.4909 0.5984 Ti
0.9909 0.2500 0.9016 Ti
0.2500 0.7500 0.7500 In
0.7500 0.2500 0.2500 In
0.0463 0.2500 0.5867 Pd
0.2500 0.0463 0.0867 Pd
0.2500 0.4537 0.0867 Pd
0.4537 0.2500 0.5867 Pd
0.5463 0.7500 0.4133 Pd
0.7500 0.5463 0.9133 Pd
0.7500 0.9537 0.9133 Pd
0.9537 0.7500 0.4133 Pd
```


Please write out number 1 again, unchanged.
# ThInPd4
Computed powder X-ray diffraction pattern, copper Kα. Input: the GGA-PBE geometry in Alexandria.
Intensities are scaled so that the largest is 100.

Top 8 peaks for 10° ≤ 2θ ≤ 90°, in order of rising 2θ:
d (Å)	intensity
2.541	87
2.309	100
2.161	27
1.875	18
1.727	14
1.457	15
1.420	14
1.416	14

Structure:
```
ThInPd4
1.0
9.6769 0.0000 0.0000
0.0000 3.7508 0.0000
-2.9121 0.0000 6.2829
Th In Pd
2 2 8
Direct
0.0000 0.0000 0.0000 Th
0.5000 0.5000 0.0000 Th
0.0000 0.0000 0.5000 In
0.5000 0.5000 0.5000 In
0.1654 0.5000 0.3355 Pd
0.1658 0.5000 0.8220 Pd
0.3342 0.0000 0.1780 Pd
0.3346 0.0000 0.6645 Pd
0.6654 0.0000 0.3355 Pd
0.6658 0.0000 0.8220 Pd
0.8342 0.5000 0.1780 Pd
0.8346 0.5000 0.6645 Pd
```